# 1
Computed powder XRD pattern
Compound: Bi3Sb3Au8
Radiation: Cu Kα
Structure: a PBE-relaxed structure
Peak positions follow from Bragg's law for the DFT cell and can differ from measured ones.

Most intense lines, 15 to 90 degrees two-theta, most intense first:
d (Å)	2θ/deg	Rel. int.
2.854	31.3	100
2.802	31.9	76
2.434	36.9	69
2.218	40.7	61
1.837	49.6	45
2.183	41.4	43

Structural model:
a = 8.7530 Å, b = 8.7530 Å, c = 10.0381 Å
α = 121.84°, β = 121.84°, γ = 32.28°
Sites, in units of the cell vectors:
Bi (0.0000, 0.0000, 0.0000)
Bi (0.3095, 0.3095, 0.4290)
Bi (0.6905, 0.6905, 0.5710)
Sb (0.0000, 0.0000, 0.5000)
Sb (0.3229, 0.3229, 0.9689)
Sb (0.6771, 0.6771, 0.0311)
Au (0.1198, 0.1198, 0.3811)
Au (0.1259, 0.1259, 0.8678)
Au (0.3957, 0.3957, 0.7822)
Au (0.4484, 0.4484, 0.3110)
Au (0.5516, 0.5516, 0.6890)
Au (0.6043, 0.6043, 0.2178)
Au (0.8741, 0.8741, 0.1322)
Au (0.8802, 0.8802, 0.6189)

***

# 2
Computed powder XRD pattern
Compound: Tb3Ce5Se8
Radiation: Cu Kα
Structure: a PBE-relaxed structure
Peak positions follow from Bragg's law for the DFT cell and can differ from measured ones.

Most intense lines, 15 to 90 degrees two-theta, most intense first:
d (Å)	2θ/deg	Rel. int.
2.943	30.4	100
2.086	43.4	37
2.076	43.6	37
1.696	54.1	20
1.318	71.6	17
1.314	71.9	17

Structural model:
a = 8.3424 Å, b = 8.3424 Å, c = 8.3424 Å
α = 59.70°, β = 59.70°, γ = 59.70°
Sites, in units of the cell vectors:
Tb (0.0000, 0.5000, 0.5000)
Tb (0.5000, 0.0000, 0.5000)
Tb (0.5000, 0.5000, 0.0000)
Ce (0.0000, 0.0000, 0.0000)
Ce (0.0000, 0.0000, 0.5000)
Ce (0.0000, 0.5000, 0.0000)
Ce (0.5000, 0.0000, 0.0000)
Ce (0.5000, 0.5000, 0.5000)
Se (0.2499, 0.2499, 0.7433)
Se (0.2499, 0.7433, 0.2499)
Se (0.2532, 0.2532, 0.2532)
Se (0.2567, 0.7501, 0.7501)
Se (0.7433, 0.2499, 0.2499)
Se (0.7468, 0.7468, 0.7468)
Se (0.7501, 0.2567, 0.7501)
Se (0.7501, 0.7501, 0.2567)